1.
Diffraction record for Tl3Cu2Cl7. The PXRD pattern is computed, not measured: it uses a crystal structure in Alexandria, relaxed with PBE and a wavelength of 1.5418 Å.

```
Tl3Cu2Cl7
1.0
-2.463 2.463 12.602
2.463 -2.463 12.602
2.463 2.463 -12.602
Tl Cu Cl
3 2 7
direct
0.000 0.000 0.000
0.181 0.181 0.000
0.819 0.819 0.000
0.404 0.404 0.000
0.596 0.596 0.000
0.094 0.594 0.500
0.311 0.311 0.000
0.406 0.906 0.500
0.500 0.500 0.000
0.594 0.094 0.500
0.689 0.689 0.000
0.906 0.406 0.500
```

Largest 10 diffraction maxima, low angle first, 10° ≤ 2θ ≤ 90°:
2theta	I/Imax
18.3	22.4
25.3	100.0
25.6	76.6
33.4	63.5
35.6	16.4
36.5	60.6
44.9	45.5
51.9	21.2
52.5	20.6
63.7	19.1

=====

2.
Diffraction record for TlCuCl4. The PXRD pattern is computed, not measured: it uses a crystal structure in Alexandria, relaxed with PBE and a wavelength of 1.5418 Å.

```
TlCuCl4
1.0
7.325 0.000 0.000
0.000 7.325 0.000
0.000 0.000 8.334
Tl Cu Cl
2 2 8
direct
0.000 0.000 0.000
0.500 0.500 0.500
0.000 0.500 0.750
0.500 0.000 0.250
0.210 0.289 0.749
0.211 0.710 0.751
0.289 0.790 0.251
0.290 0.211 0.249
0.710 0.789 0.249
0.711 0.210 0.251
0.789 0.290 0.751
0.790 0.711 0.749
```

Largest 10 diffraction maxima, low angle first, 10° ≤ 2θ ≤ 90°:
2theta	I/Imax
16.1	100.0
27.5	42.6
29.3	38.4
32.5	23.4
34.5	15.5
34.6	21.7
42.7	14.1
44.8	18.0
46.0	17.1
56.7	13.6

=====

3.
Diffraction record for Tl2CuCl3. The PXRD pattern is computed, not measured: it uses a crystal structure in Alexandria, relaxed with PBE and a wavelength of 1.5418 Å.

```
Tl2CuCl3
1.0
9.276 0.000 0.000
0.000 4.352 0.000
0.000 0.000 17.561
Tl Cu Cl
8 4 12
direct
0.112 0.250 0.209
0.214 0.750 0.453
0.286 0.250 0.953
0.388 0.750 0.709
0.612 0.250 0.291
0.714 0.750 0.047
0.786 0.250 0.547
0.888 0.750 0.791
0.170 0.250 0.646
0.330 0.750 0.146
0.670 0.250 0.854
0.830 0.750 0.354
0.029 0.750 0.608
0.144 0.250 0.773
0.151 0.750 0.061
0.349 0.250 0.561
0.356 0.750 0.273
0.471 0.250 0.108
0.529 0.750 0.892
0.644 0.250 0.727
0.651 0.750 0.439
0.849 0.250 0.939
0.856 0.750 0.227
0.971 0.250 0.392
```

Largest 10 diffraction maxima, low angle first, 10° ≤ 2θ ≤ 90°:
2theta	I/Imax
21.7	27.6
22.4	72.4
23.1	48.0
25.5	60.6
29.9	100.0
37.1	29.3
38.3	27.4
38.9	28.0
41.5	38.8
42.7	28.2

=====

4.
Diffraction record for Tl3CuCl5. The PXRD pattern is computed, not measured: it uses a crystal structure in Alexandria, relaxed with PBE and a wavelength of 1.5418 Å.

```
Tl3CuCl5
1.0
-4.246 4.246 7.246
4.246 -4.246 7.246
4.246 4.246 -7.246
Tl Cu Cl
6 2 10
direct
0.169 0.669 0.838
0.250 0.250 0.000
0.331 0.169 0.500
0.669 0.831 0.500
0.750 0.750 0.000
0.831 0.331 0.162
0.250 0.750 0.500
0.750 0.250 0.500
0.000 0.000 0.000
0.004 0.796 0.500
0.204 0.704 0.208
0.296 0.504 0.500
0.496 0.996 0.792
0.500 0.500 0.000
0.504 0.004 0.208
0.704 0.496 0.500
0.796 0.296 0.792
0.996 0.204 0.500
```

Largest 10 diffraction maxima, low angle first, 10° ≤ 2θ ≤ 90°:
2theta	I/Imax
19.2	16.6
24.3	100.0
24.6	28.8
29.8	19.1
29.9	67.6
33.4	30.3
39.0	17.0
39.1	17.8
43.1	17.4
44.4	21.4